# Tb5Dy5Sb6
Simulated powder diffraction line list, Cu Ka. Input: a cell relaxed with PBE.
Neutral-atom scattering factors, no anomalous dispersion.

Main lines, sorted by position (15° ≤ 2θ ≤ 90°):
d (Å), Position (°2θ), intensity
3.158, 28.26, 16.4
2.948, 30.32, 32.8
2.927, 30.54, 19.4
2.671, 33.55, 100.0
2.600, 34.50, 51.5
2.586, 34.69, 82.8
1.833, 49.73, 22.5
1.722, 53.20, 14.2
1.713, 53.48, 26.5
1.659, 55.37, 15.3
1.399, 66.90, 14.6
1.350, 69.66, 13.2

Structure:
Lattice parameters (Å, degrees): 6.317 15.609 9.001 90.00 90.00 90.00
Space group Amm2 (No. 38)
Asymmetric unit:
Tb  0.000  0.000  0.000 [2 per cell]
Tb  0.250  0.167  0.253 [8 per cell]
Dy  0.000  0.124  0.630 [4 per cell]
Dy  0.500  0.000  0.507 [2 per cell]
Dy  0.500  0.124  0.877 [4 per cell]
Sb  0.000  0.000  0.366 [2 per cell]
Sb  0.000  0.194  0.947 [4 per cell]
Sb  0.500  0.000  0.142 [2 per cell]
Sb  0.500  0.194  0.559 [4 per cell]